The following is a simulated X-ray diffraction stick pattern of BaZr2O. It was derived from the GGA-PBE geometry in Alexandria, using Cu Kα (weighted mean of Kα1 and Kα2).
Neutral-atom scattering factors, no anomalous dispersion.

Main lines, in order of rising 2θ (2θ = 5–70°):
- (1 1 1), 15.75 deg, I = 1
- (2 2 0), 25.85 deg, I = 56
- (3 1 1), 30.41 deg, I = 100
- (2 2 2), 31.80 deg, I = 34
- (4 2 2), 45.59 deg, I = 23
- (5 1 1), 48.53 deg, I = 36
- (4 4 0), 53.15 deg, I = 37
- (6 2 0), 60.02 deg, I = 10
- (5 3 3), 62.47 deg, I = 13
- (6 2 2), 63.28 deg, I = 13

Structure:
Unit cell a=9.7482 b=9.7482 c=9.7482 alpha=90.00 beta=90.00 gamma=90.00
Space group Fd-3m (No. 227, origin choice 2)
Unique sites:
Ba  0.1250  0.1250  0.1250 x8
Zr  0.0000  0.0000  0.5000 x16
O  0.1250  0.1250  0.6250 x8